No. 1
Calculated powder XRD pattern
Compound: Ta2O5
Radiation: Cu Kα, 1.54184 Å
Structure: a GGA-PBE-relaxed structure
Lines closer than 0.1° are merged.

Principal peaks in the range 10° ≤ 2θ ≤ 90°, most intense first:
- 29.98 deg, intensity 100.0
- 28.59 deg, intensity 89.8
- 14.18 deg, intensity 83.9
- 30.47 deg, intensity 77.7
- 15.10 deg, intensity 71.0
- 31.22 deg, intensity 71.0

Structural model:
```
21
Lattice="6.9247 0.0000 0.0000 3.2725 6.3605 0.0000 0.1059 3.7480 6.2444" Properties=species:S:1:pos:R:3 pbc="T T T"
Ta 0.0000 0.0000 0.0000
Ta 1.6819 4.8115 3.0288
Ta 5.0228 5.1862 2.5675
Ta 3.6455 3.7140 5.7756
Ta 5.1818 6.6091 6.1600
Ta 8.7211 7.1423 5.8440
O 1.7271 3.5631 1.5893
O 1.0618 3.8131 4.5447
O 3.1861 5.7988 1.9652
O 3.7658 7.9999 5.9552
O 3.2241 5.6779 6.1007
O 5.1884 6.2175 0.7896
O 3.5781 4.1328 3.9003
O 5.2464 6.1137 4.2575
O 5.1542 3.4396 1.8264
O 6.6201 8.0652 5.7805
O 5.0835 0.8630 0.4925
O 6.9395 5.4268 2.3402
O 8.7209 9.1376 5.3701
O 7.1436 1.9618 0.0157
O 8.6899 6.5164 4.0667
```

=====

No. 2
Calculated powder XRD pattern
Compound: TbTa3O9
Radiation: Cu Kα, 1.54184 Å
Structure: a GGA-PBE-relaxed structure
Lines closer than 0.1° are merged.

Principal peaks in the range 10° ≤ 2θ ≤ 90°, most intense first:
- 32.06 deg, intensity 100.0
- 22.58 deg, intensity 55.5
- 32.14 deg, intensity 51.3
- 46.09 deg, intensity 30.7
- 22.46 deg, intensity 28.9
- 51.89 deg, intensity 22.8

Structural model:
```
26
Lattice="8.3512 -2.7860 0.0000 8.3512 2.7860 0.0000 -5.5635 0.0000 7.9170" Properties=species:S:1:pos:R:3 pbc="T T T"
Tb 2.8916 0.0000 0.0110
Tb 8.2473 0.0000 7.9060
Ta 0.0041 0.0000 1.9695
Ta 0.0613 0.0000 5.8444
Ta 5.6381 0.0000 2.0318
Ta 5.5009 0.0000 5.8852
Ta 11.0776 0.0000 2.0726
Ta 11.1349 0.0000 5.9475
O 0.0000 0.0000 0.0000
O 4.1743 1.3933 1.7247
O 1.3099 1.4620 6.1170
O -0.0117 0.0000 3.9364
O 6.8807 1.4625 1.7948
O 4.2582 1.4625 6.1222
O -0.1480 0.0000 7.9144
O 9.8291 1.4620 1.8000
O 6.9646 1.3933 6.1923
O 5.5695 0.0000 3.9585
O 4.1743 -1.3933 1.7247
O 1.3099 -1.4620 6.1170
O 11.2869 0.0000 0.0026
O 6.8807 -1.4625 1.7948
O 4.2582 -1.4625 6.1222
O 11.1507 0.0000 3.9806
O 9.8291 -1.4620 1.8000
O 6.9646 -1.3933 6.1923
```

=====

No. 3
Calculated powder XRD pattern
Compound: Tb3TaO7
Radiation: Cu Kα, 1.54184 Å
Structure: a GGA-PBE-relaxed structure
Lines closer than 0.1° are merged.

Principal peaks in the range 10° ≤ 2θ ≤ 90°, most intense first:
- 28.96 deg, intensity 100.0
- 29.34 deg, intensity 96.0
- 48.47 deg, intensity 52.2
- 33.87 deg, intensity 48.3
- 57.43 deg, intensity 40.6
- 33.61 deg, intensity 24.3

Structural model:
```
22
Lattice="5.3324 -3.7076 0.0000 5.3324 3.7076 0.0000 0.0000 0.0000 7.5569" Properties=species:S:1:pos:R:3 pbc="T T T"
Tb 0.0000 0.0000 0.0000
Tb 0.0000 0.0000 3.7785
Tb 2.8794 1.5927 5.6677
Tb 2.8794 -1.5927 1.8892
Tb 7.7854 1.5927 5.6677
Tb 7.7854 -1.5927 1.8892
Ta 5.3324 0.0000 0.0000
Ta 5.3324 0.0000 3.7785
O 1.4129 0.1442 1.8892
O 1.4129 -0.1442 5.6677
O 3.9577 1.4256 0.2576
O 3.9577 1.4256 3.5208
O 5.3324 0.5610 5.6677
O 6.7071 1.4256 0.2576
O 6.7071 1.4256 3.5208
O 3.9577 -1.4256 4.0361
O 3.9577 -1.4256 7.2993
O 5.3324 -0.5610 1.8892
O 6.7071 -1.4256 4.0361
O 6.7071 -1.4256 7.2993
O 9.2520 0.1442 1.8892
O 9.2520 -0.1442 5.6677
```

=====

No. 4
Calculated powder XRD pattern
Compound: TbTa3O9
Radiation: Cu Kα, 1.54184 Å
Structure: a GGA-PBE-relaxed structure
Lines closer than 0.1° are merged.

Principal peaks in the range 10° ≤ 2θ ≤ 90°, most intense first:
- 32.04 deg, intensity 100.0
- 22.58 deg, intensity 56.1
- 32.14 deg, intensity 51.8
- 46.10 deg, intensity 29.7
- 22.44 deg, intensity 28.9
- 11.18 deg, intensity 22.9

Structural model:
```
26
Lattice="8.3646 -2.7815 0.0000 8.3646 2.7815 0.0000 -5.5735 0.0000 7.9252" Properties=species:S:1:pos:R:3 pbc="T T T"
Tb 2.9594 0.0000 0.0396
Tb 8.1963 0.0000 7.8856
Ta 0.0015 0.0328 1.9506
Ta 0.0448 0.0285 5.8308
Ta 5.6806 0.0292 2.0367
Ta 5.4751 0.0292 5.8884
Ta 11.1109 0.0285 2.0944
Ta 11.1543 0.0328 5.9746
O 4.2147 1.4585 1.7343
O 1.2906 1.4891 6.1318
O -0.0221 0.0407 3.9319
O 6.9008 1.4838 1.7982
O 4.2550 1.4838 6.1270
O 5.4204 0.0737 0.0009
O 9.8651 1.4891 1.7934
O 6.9410 1.4585 6.1909
O 5.5779 0.0428 3.9626
O 4.1887 -1.3320 1.7361
O 1.2780 -1.4236 6.1311
O 5.7354 0.0737 7.9243
O 6.8808 -1.4224 1.7942
O 4.2749 -1.4224 6.1310
O 11.1778 0.0407 3.9932
O 6.9671 -1.3320 6.1891
O 9.8777 -1.4236 1.7941
O 8.3646 -2.7341 0.0000
```

=====

No. 5
Calculated powder XRD pattern
Compound: TbTaO4
Radiation: Cu Kα, 1.54184 Å
Structure: a GGA-PBE-relaxed structure
Lines closer than 0.1° are merged.

Principal peaks in the range 10° ≤ 2θ ≤ 90°, most intense first:
- 28.93 deg, intensity 100.0
- 33.31 deg, intensity 16.7
- 29.85 deg, intensity 15.6
- 23.62 deg, intensity 14.9
- 50.05 deg, intensity 14.2
- 56.87 deg, intensity 12.5

Structural model:
```
24
Lattice="7.6266 0.0000 0.0000 0.0000 5.3796 0.0000 -1.1900 0.0000 7.5370" Properties=species:S:1:pos:R:3 pbc="T T T"
Tb 0.6442 1.1862 2.9511
Tb 0.0492 1.5036 6.7197
Tb 6.3874 3.8760 0.8174
Tb 5.7924 4.1935 4.5859
Ta 2.3229 3.9398 1.4513
Ta 1.7279 4.1296 5.2198
Ta 4.7087 1.2500 2.3173
Ta 4.1137 1.4398 6.0858
O 0.6407 2.7647 1.3058
O 0.0457 5.3048 5.0743
O 1.1764 0.0170 0.9150
O 0.5814 2.6728 4.6835
O 1.3747 3.4010 7.0832
O 1.9697 4.6684 3.3147
O 2.3746 0.5222 6.0750
O 2.9696 2.1676 2.3065
O 3.4670 3.2121 5.2305
O 4.0620 4.8574 1.4620
O 4.4669 0.7112 4.2224
O 5.0619 1.9786 0.4538
O 5.8552 2.7068 2.8535
O 5.2602 5.3626 6.6220
O 6.3909 0.0749 2.4628
O 5.7959 2.6150 6.2313
```

=====

No. 6
Calculated powder XRD pattern
Compound: TbTaO4
Radiation: Cu Kα, 1.54184 Å
Structure: a GGA-PBE-relaxed structure
Lines closer than 0.1° are merged.

Principal peaks in the range 10° ≤ 2θ ≤ 90°, most intense first:
- 27.83 deg, intensity 100.0
- 30.21 deg, intensity 80.2
- 33.65 deg, intensity 24.8
- 47.37 deg, intensity 21.9
- 48.35 deg, intensity 21.8
- 32.35 deg, intensity 19.8

Structural model:
```
12
Lattice="5.1711 0.0000 0.0000 0.0000 5.5351 0.0000 -0.6216 0.0000 5.3268" Properties=species:S:1:pos:R:3 pbc="T T T"
Tb -0.1554 1.2918 1.3317
Tb -0.4662 4.2433 3.9951
Ta 2.1194 1.7042 3.9951
Ta 2.4302 3.8310 1.3317
O 0.9210 0.4795 3.2069
O 1.2318 5.0556 0.5435
O 0.7750 2.4128 5.2971
O 1.0858 3.1223 2.6337
O 3.4637 2.4128 2.6932
O 3.7745 3.1223 0.0297
O 3.3177 0.4795 4.7834
O 3.6285 5.0556 2.1200
```